# 1
Theoretical powder XRD pattern of Sm4ScTl3 for Cu Kα (λ = 1.5418 Å), from a cell relaxed with GGA-PBE.
Intensities are scaled so that the largest is 100.

Principal peaks in the range 2θ = 10–90°, most intense first:
(1 1 4), 33.12°, rel. 100
(2 0 0), 32.03°, rel. 55
(3 1 4), 57.78°, rel. 41
(2 2 0), 45.93°, rel. 20
(2 0 8), 59.84°, rel. 18
(2 2 8), 69.50°, rel. 11
(4 2 0), 76.18°, rel. 9
(3 3 4), 76.78°, rel. 9

Structure:
```
data_Sm4ScTl3
_space_group_name_H-M_alt 'I 4/m m m'
_space_group_IT_number 139
_space_group_name_Hall '-I 4 2'
_cell_length_a 5.589
_cell_length_b 5.589
_cell_length_c 14.842
_cell_angle_alpha 90.00
_cell_angle_beta 90.00
_cell_angle_gamma 90.00
loop_
_atom_site_label
_atom_site_fract_x
_atom_site_fract_y
_atom_site_fract_z
Sm1 0.000 0.500 0.124
Sc1 0.000 0.000 0.000
Tl1 0.000 0.000 0.243
Tl2 0.000 0.000 0.500
```

=====

# 2
Theoretical powder XRD pattern of Nd5Si2Sn for Cu Kα (λ = 1.5418 Å), from a cell relaxed with GGA-PBE.
Intensities are scaled so that the largest is 100.

Principal peaks in the range 2θ = 10–90°, most intense first:
(2 1 3), 31.30°, rel. 100
(2 0 4), 33.53°, rel. 87
(3 1 0), 35.81°, rel. 66
(2 1 1), 25.86°, rel. 52
(4 1 3), 51.13°, rel. 49
(1 1 4), 29.38°, rel. 44
(3 3 4), 55.32°, rel. 37
(2 2 0), 31.92°, rel. 31

Structure:
```
data_Nd5Si2Sn
_space_group_name_H-M_alt 'I 4/m c m'
_space_group_IT_number 140
_space_group_name_Hall '-I 4 2c'
_cell_length_a 7.930
_cell_length_b 7.930
_cell_length_c 14.471
_cell_angle_alpha 90.00
_cell_angle_beta 90.00
_cell_angle_gamma 90.00
loop_
_atom_site_label
_atom_site_fract_x
_atom_site_fract_y
_atom_site_fract_z
Nd1 0.000 0.000 0.000
Nd2 0.174 0.326 0.139
Si1 0.119 0.381 0.500
Sn1 0.000 0.000 0.250
```

=====

# 3
Theoretical powder XRD pattern of Ho6Te2Se for Cu Kα (λ = 1.5418 Å), from a cell relaxed with GGA-PBE.
Intensities are scaled so that the largest is 100.

Principal peaks in the range 2θ = 10–90°, most intense first:
(1 0 -4), 30.27°, rel. 100
(0 2 2), 29.46°, rel. 52
(1 3 -1), 37.88°, rel. 48
(1 2 0), 28.26°, rel. 46
(1 2 1), 32.20°, rel. 45
(2 1 -2), 29.14°, rel. 39
(2 1 0), 33.89°, rel. 36
(0 0 4), 35.88°, rel. 36

Structure:
```
data_Ho6Te2Se
_space_group_name_H-M_alt 'P 1 21/c 1'
_space_group_IT_number 14
_cell_length_a 6.699
_cell_length_b 7.621
_cell_length_c 11.889
_cell_angle_alpha 90.00
_cell_angle_beta 122.64
_cell_angle_gamma 90.00
loop_
_space_group_symop_operation_xyz
'x,y,z'
'-x,-y,-z'
'-x,y+1/2,-z+1/2'
'x,-y+1/2,z+1/2'
loop_
_atom_site_label
_atom_site_fract_x
_atom_site_fract_y
_atom_site_fract_z
Ho1 0.093 0.198 0.454
Ho2 0.302 0.666 0.449
Ho3 0.403 0.028 0.239
Te1 0.156 0.126 0.736
Se1 0.500 0.000 0.500
```

=====

# 4
Theoretical powder XRD pattern of Tb4Tm2Pb for Cu Kα (λ = 1.5418 Å), from a cell relaxed with GGA-PBE.
Intensities are scaled so that the largest is 100.

Principal peaks in the range 2θ = 10–90°, most intense first:
(1 0 3), 31.75°, rel. 100
(2 0 -1), 32.16°, rel. 99
(1 0 -4), 31.89°, rel. 96
(1 2 1), 33.01°, rel. 91
(1 2 -1), 31.03°, rel. 58
(1 4 3), 63.90°, rel. 53
(0 2 2), 30.57°, rel. 51
(0 2 0), 26.16°, rel. 36

Structure:
```
data_Tb4Tm2Pb
_space_group_name_H-M_alt 'P 1 21/m 1'
_space_group_IT_number 11
_cell_length_a 5.566
_cell_length_b 6.812
_cell_length_c 11.728
_cell_angle_alpha 90.00
_cell_angle_beta 103.46
_cell_angle_gamma 90.00
loop_
_space_group_symop_operation_xyz
'x,y,z'
'-x,-y,-z'
'-x,y+1/2,-z'
'x,-y+1/2,z'
loop_
_atom_site_label
_atom_site_fract_x
_atom_site_fract_y
_atom_site_fract_z
Tb1 0.078 0.250 0.138
Tb2 0.217 0.750 0.418
Tb3 0.351 0.511 0.711
Tm1 0.212 0.250 0.434
Tm2 0.500 0.250 0.978
Pb1 0.063 0.750 0.147
```

=====

# 5
Theoretical powder XRD pattern of PN2F5 for Cu Kα (λ = 1.5418 Å), from a cell relaxed with GGA-PBE.
Intensities are scaled so that the largest is 100.

Principal peaks in the range 2θ = 10–90°, most intense first:
(1 0 1), 21.31°, rel. 100
(0 1 0), 16.41°, rel. 96
(0 0 1), 15.88°, rel. 89
(0 1 1), 21.12°, rel. 87
(1 1 0), 22.66°, rel. 78
(1 0 0), 19.62°, rel. 42
(0 1 -1), 24.58°, rel. 30
(1 1 1), 22.44°, rel. 26

Structure:
```
data_PN2F5
_space_group_name_H-M_alt 'P 1'
_space_group_IT_number 1
_cell_length_a 4.936
_cell_length_b 5.694
_cell_length_c 6.005
_cell_angle_alpha 76.68
_cell_angle_beta 70.05
_cell_angle_gamma 73.61
loop_
_space_group_symop_operation_xyz
'x,y,z'
loop_
_atom_site_label
_atom_site_fract_x
_atom_site_fract_y
_atom_site_fract_z
P1 0.000 0.000 0.000
N1 0.352 0.520 0.407
N2 0.448 0.489 0.557
F1 0.138 0.012 0.715
F2 0.304 0.002 0.025
F3 0.785 0.256 0.960
F4 0.849 0.988 0.284
F5 0.927 0.745 0.014
```

=====

# 6
Theoretical powder XRD pattern of KLi2Pa2S6 for Cu Kα (λ = 1.5418 Å), from a cell relaxed with GGA-PBE.
Intensities are scaled so that the largest is 100.

Principal peaks in the range 2θ = 10–90°, most intense first:
(1 0 0), 13.29°, rel. 100
(0 1 -1), 24.98°, rel. 37
(0 1 1), 14.55°, rel. 36
(-1 1 2), 29.41°, rel. 27
(1 -1 1), 29.83°, rel. 27
(1 2 1), 26.31°, rel. 25
(2 2 1), 33.20°, rel. 19
(0 0 1), 14.24°, rel. 17

Structure:
```
data_KLi2Pa2S6
_space_group_name_H-M_alt 'P -1'
_space_group_IT_number 2
_cell_length_a 6.805
_cell_length_b 7.130
_cell_length_c 7.156
_cell_angle_alpha 60.36
_cell_angle_beta 85.26
_cell_angle_gamma 78.31
loop_
_space_group_symop_operation_xyz
'x,y,z'
'-x,-y,-z'
loop_
_atom_site_label
_atom_site_fract_x
_atom_site_fract_y
_atom_site_fract_z
K1 0.000 0.000 0.000
Li1 0.499 0.614 0.753
Pa1 0.002 0.332 0.335
S1 0.228 0.565 0.395
S2 0.229 0.952 0.615
S3 0.249 0.368 0.003
```